Computed X-ray diffraction stick pattern
Compound: KMg6Cu
Radiation: Cu Kα X-rays
Structure: a cell relaxed with GGA-PBE
Peak positions follow from Bragg's law for the DFT cell and can differ from measured ones.

Structure:
a b c (Å): 5.239 6.515 11.489
angles (deg): 90.00 90.00 90.00
Space group Amm2 (No. 38)
Symmetry-distinct sites (fractional):
K1 0.000 0.000 0.000 (multiplicity 2)
Mg1 0.000 0.246 0.251 (multiplicity 4)
Mg2 0.500 0.000 0.176 (multiplicity 2)
Mg3 0.500 0.000 0.662 (multiplicity 2)
Mg4 0.500 0.230 0.417 (multiplicity 4)
Cu1 0.000 0.000 0.497 (multiplicity 2)

Largest 10 diffraction maxima, most intense first, 2θ = 5–70°:
- 2θ 36.0, I = 100, (1 2 2)
- 2θ 35.6, I = 50, (1 0 4)
- 2θ 34.2, I = 38, (2 0 0)
- 2θ 31.6, I = 26, (0 2 2)
- 2θ 67.0, I = 18, (2 2 6)
- 2θ 62.5, I = 18, (3 2 2)
- 2θ 55.7, I = 17, (0 2 6)
- 2θ 67.7, I = 16, (2 4 0)
- 2θ 47.3, I = 16, (2 2 2)
- 2θ 31.1, I = 15, (0 0 4)


Computed X-ray diffraction stick pattern
Compound: Ni11Ge2Se4
Radiation: Cu Kα X-rays
Structure: a cell relaxed with GGA-PBE
Peak positions follow from Bragg's law for the DFT cell and can differ from measured ones.

Structure:
a b c (Å): 3.618 3.618 18.414
angles (deg): 90.00 90.00 90.00
Space group P4mm (No. 99)
Symmetry-distinct sites (fractional):
Ni1 0.000 0.000 0.000 (multiplicity 1)
Ni2 0.000 0.000 0.301 (multiplicity 1)
Ni3 0.000 0.500 0.096 (multiplicity 2)
Ni4 0.000 0.500 0.406 (multiplicity 2)
Ni5 0.000 0.500 0.597 (multiplicity 2)
Ni6 0.000 0.500 0.904 (multiplicity 2)
Ni7 0.500 0.500 0.501 (multiplicity 1)
Ge1 0.000 0.000 0.500 (multiplicity 1)
Ge2 0.500 0.500 0.000 (multiplicity 1)
Se1 0.000 0.000 0.177 (multiplicity 1)
Se2 0.000 0.000 0.823 (multiplicity 1)
Se3 0.500 0.500 0.318 (multiplicity 1)
Se4 0.500 0.500 0.677 (multiplicity 1)

Largest 10 diffraction maxima, most intense first, 2θ = 5–70°:
- 2θ 46.2, I = 100, (1 1 6)
- 2θ 9.6, I = 53, (0 0 2)
- 2θ 40.3, I = 51, (1 1 4)
- 2θ 50.5, I = 48, (2 0 0)
- 2θ 28.6, I = 27, (1 0 3)
- 2θ 49.5, I = 15, (0 0 10)
- 2θ 59.0, I = 7, (2 1 3)
- 2θ 19.3, I = 7, (0 0 4)
- 2θ 25.1, I = 7, (1 0 1)
- 2θ 51.3, I = 6, (1 0 9)